(1)
# DyTm2Sc3CuTe2
Theoretical X-ray diffraction stick pattern, Cu Kα (weighted mean of Kα1 and Kα2). Input: a structure optimized by DFT (GGA-PBE).

Principal peaks in the range 10 to 80 degrees two-theta, most intense first:
| index | d/Å | 2theta | I/Imax |
| --- | --- | --- | --- |
| 1 0 2 | 2.802 | 31.94 | 100 |
| 1 2 2 | 2.597 | 34.54 | 56 |
| 0 6 0 | 2.302 | 39.13 | 36 |
| 0 0 2 | 3.987 | 22.30 | 30 |
| 0 5 1 | 2.610 | 34.36 | 27 |
| 1 8 2 | 1.470 | 63.26 | 21 |
| 2 6 0 | 1.497 | 62.01 | 18 |
| 1 5 1 | 2.176 | 41.50 | 18 |
| 1 2 4 | 1.723 | 53.17 | 17 |
| 2 0 0 | 1.969 | 46.09 | 16 |

Structure:
abc: 3.9390 13.8097 7.9761
angles: 90.00 90.00 90.00
Space group Amm2 (No. 38)
One atom of each set of equivalent atoms:
Dy (0.0000, 0.0000, 0.0000) [2 per cell]
Tm (0.0000, 0.1965, 0.4078) [4 per cell]
Sc (0.5000, 0.0000, 0.3664) [2 per cell]
Sc (0.5000, 0.1194, 0.7225) [4 per cell]
Cu (0.0000, 0.0000, 0.6009) [2 per cell]
Te (0.5000, 0.1676, 0.1046) [4 per cell]


(2)
# DyY3Sc2CuTe2
Theoretical X-ray diffraction stick pattern, Cu Kα (weighted mean of Kα1 and Kα2). Input: a structure optimized by DFT (GGA-PBE).

Principal peaks in the range 10 to 80 degrees two-theta, most intense first:
| index | d/Å | 2theta | I/Imax |
| --- | --- | --- | --- |
| 1 3 1 | 2.849 | 31.40 | 100 |
| 1 2 2 | 2.632 | 34.07 | 85 |
| 0 1 3 | 2.651 | 33.81 | 37 |
| 0 3 3 | 2.347 | 38.36 | 29 |
| 2 0 0 | 1.982 | 45.79 | 26 |
| 0 6 0 | 2.376 | 37.86 | 23 |
| 0 1 1 | 7.040 | 12.57 | 21 |
| 1 4 2 | 2.217 | 40.69 | 21 |
| 0 5 1 | 2.689 | 33.31 | 21 |
| 0 4 2 | 2.675 | 33.50 | 19 |

Structure:
abc: 3.9634 14.2570 8.0959
angles: 90.00 90.00 90.00
Space group Amm2 (No. 38)
One atom of each set of equivalent atoms:
Dy (0.0000, 0.0000, 0.0000) [2 per cell]
Y (0.5000, 0.0000, 0.3703) [2 per cell]
Y (0.5000, 0.2014, 0.9630) [4 per cell]
Sc (0.0000, 0.1208, 0.6443) [4 per cell]
Cu (0.5000, 0.0000, 0.7457) [2 per cell]
Te (0.0000, 0.1687, 0.2654) [4 per cell]


(3)
# DyY2Cu4Si2Sn2
Theoretical X-ray diffraction stick pattern, Cu Kα (weighted mean of Kα1 and Kα2). Input: a structure optimized by DFT (GGA-PBE).

Principal peaks in the range 10 to 80 degrees two-theta, most intense first:
| index | d/Å | 2theta | I/Imax |
| --- | --- | --- | --- |
| 1 2 1 | 2.619 | 34.23 | 100 |
| 1 1 4 | 2.529 | 35.50 | 50 |
| 0 3 3 | 2.059 | 43.98 | 32 |
| 1 1 2 | 3.212 | 27.77 | 32 |
| 2 0 0 | 2.116 | 42.73 | 30 |
| 1 2 5 | 1.944 | 46.74 | 27 |
| 0 0 6 | 2.368 | 38.00 | 23 |
| 2 3 3 | 1.476 | 63.00 | 21 |
| 2 0 6 | 1.578 | 58.50 | 17 |
| 3 2 1 | 1.299 | 72.80 | 14 |

Structure:
abc: 4.2319 6.8580 14.2081
angles: 90.00 90.00 90.00
Space group Immm (No. 71)
One atom of each set of equivalent atoms:
Dy (0.0000, 0.0000, 0.0000) [2 per cell]
Y (0.0000, 0.5000, 0.1345) [4 per cell]
Cu (0.0000, 0.3105, 0.3181) [8 per cell]
Si (0.0000, 0.0000, 0.2159) [4 per cell]
Sn (0.0000, 0.2032, 0.5000) [4 per cell]


(4)
# TbDyCuSi3
Theoretical X-ray diffraction stick pattern, Cu Kα (weighted mean of Kα1 and Kα2). Input: a structure optimized by DFT (GGA-PBE).

Principal peaks in the range 10 to 80 degrees two-theta, most intense first:
| index | d/Å | 2theta | I/Imax |
| --- | --- | --- | --- |
| 0 2 4 | 2.632 | 34.06 | 100 |
| 2 0 2 | 3.460 | 25.75 | 37 |
| 4 0 0 | 1.998 | 45.40 | 32 |
| 4 2 4 | 1.591 | 57.95 | 21 |
| 4 4 0 | 1.423 | 65.59 | 21 |
| 2 2 10 | 1.245 | 76.54 | 19 |
| 2 4 2 | 1.750 | 52.28 | 11 |
| 0 4 0 | 2.028 | 44.68 | 11 |
| 0 6 4 | 1.259 | 75.49 | 10 |
| 0 2 0 | 4.056 | 21.91 | 8 |

Structure:
abc: 7.9936 8.1128 13.8349
angles: 90.00 90.00 90.00
Space group Fmmm (No. 69)
One atom of each set of equivalent atoms:
Tb (0.2500, 0.2500, 0.2500) [8 per cell]
Dy (0.0000, 0.2435, 0.0000) [8 per cell]
Cu (0.0000, 0.0000, 0.3334) [8 per cell]
Si (0.0000, 0.0000, 0.1686) [8 per cell]
Si (0.2445, 0.0000, 0.4156) [16 per cell]


(5)
# TbDyCuSi3
Theoretical X-ray diffraction stick pattern, Cu Kα (weighted mean of Kα1 and Kα2). Input: a structure optimized by DFT (GGA-PBE).

Principal peaks in the range 10 to 80 degrees two-theta, most intense first:
| index | d/Å | 2theta | I/Imax |
| --- | --- | --- | --- |
| 2 2 2 | 2.632 | 34.06 | 100 |
| 2 0 2 | 3.459 | 25.75 | 37 |
| 4 0 0 | 1.997 | 45.41 | 32 |
| 4 2 4 | 1.591 | 57.96 | 21 |
| 4 4 0 | 1.423 | 65.61 | 21 |
| 2 2 10 | 1.244 | 76.56 | 19 |
| 2 4 2 | 1.749 | 52.29 | 11 |
| 0 4 0 | 2.028 | 44.69 | 11 |
| 2 6 2 | 1.259 | 75.50 | 10 |
| 0 2 0 | 4.056 | 21.92 | 8 |

Structure:
abc: 7.9915 8.1115 13.8339
angles: 90.00 90.00 90.00
Space group Fmmm (No. 69)
One atom of each set of equivalent atoms:
Tb (0.0000, 0.2435, 0.0000) [8 per cell]
Dy (0.2500, 0.2500, 0.2500) [8 per cell]
Cu (0.0000, 0.0000, 0.3333) [8 per cell]
Si (0.0000, 0.0000, 0.1687) [8 per cell]
Si (0.2445, 0.0000, 0.4155) [16 per cell]


(6)
# TbDy2Cu4Si4
Theoretical X-ray diffraction stick pattern, Cu Kα (weighted mean of Kα1 and Kα2). Input: a structure optimized by DFT (GGA-PBE).

Principal peaks in the range 10 to 80 degrees two-theta, most intense first:
| index | d/Å | 2theta | I/Imax |
| --- | --- | --- | --- |
| 1 2 1 | 2.520 | 35.63 | 100 |
| 1 1 4 | 2.443 | 36.79 | 83 |
| 0 3 3 | 1.965 | 46.19 | 29 |
| 2 0 0 | 2.065 | 43.85 | 28 |
| 0 1 3 | 3.740 | 23.79 | 22 |
| 2 3 3 | 1.424 | 65.58 | 20 |
| 1 1 2 | 3.109 | 28.71 | 19 |
| 0 0 6 | 2.280 | 39.52 | 18 |
| 1 0 1 | 3.953 | 22.49 | 16 |
| 1 2 3 | 2.234 | 40.38 | 16 |

Structure:
abc: 4.1291 6.5343 13.6813
angles: 90.00 90.00 90.00
Space group Immm (No. 71)
One atom of each set of equivalent atoms:
Tb (0.0000, 0.0000, 0.0000) [2 per cell]
Dy (0.0000, 0.5000, 0.1299) [4 per cell]
Cu (0.0000, 0.3090, 0.3314) [8 per cell]
Si (0.0000, 0.0000, 0.2159) [4 per cell]
Si (0.0000, 0.1843, 0.5000) [4 per cell]


(7)
# DyZr2Cu4Si4
Theoretical X-ray diffraction stick pattern, Cu Kα (weighted mean of Kα1 and Kα2). Input: a structure optimized by DFT (GGA-PBE).

Principal peaks in the range 10 to 80 degrees two-theta, most intense first:
| index | d/Å | 2theta | I/Imax |
| --- | --- | --- | --- |
| 1 2 1 | 2.474 | 36.31 | 100 |
| 1 1 4 | 2.365 | 38.05 | 92 |
| 0 3 3 | 1.951 | 46.56 | 39 |
| 0 1 5 | 2.451 | 36.67 | 36 |
| 2 0 0 | 1.980 | 45.82 | 36 |
| 1 1 2 | 3.014 | 29.64 | 30 |
| 2 3 3 | 1.390 | 67.38 | 25 |
| 0 0 6 | 2.203 | 40.98 | 24 |
| 2 0 6 | 1.474 | 63.09 | 20 |
| 1 0 3 | 2.946 | 30.34 | 20 |

Structure:
abc: 3.9609 6.5265 13.2201
angles: 90.00 90.00 90.00
Space group Immm (No. 71)
One atom of each set of equivalent atoms:
Dy (0.0000, 0.0000, 0.0000) [2 per cell]
Zr (0.0000, 0.5000, 0.1244) [4 per cell]
Cu (0.0000, 0.3083, 0.3292) [8 per cell]
Si (0.0000, 0.0000, 0.2198) [4 per cell]
Si (0.0000, 0.1831, 0.5000) [4 per cell]


(8)
# TbDyCu2Sn2
Theoretical X-ray diffraction stick pattern, Cu Kα (weighted mean of Kα1 and Kα2). Input: a structure optimized by DFT (GGA-PBE).

Principal peaks in the range 10 to 80 degrees two-theta, most intense first:
| index | d/Å | 2theta | I/Imax |
| --- | --- | --- | --- |
| 1 0 2 | 2.666 | 33.61 | 100 |
| 1 1 0 | 2.271 | 39.68 | 67 |
| 0 2 2 | 1.729 | 52.96 | 28 |
| 2 1 2 | 1.376 | 68.16 | 26 |
| 1 1 4 | 1.417 | 65.92 | 17 |
| 1 0 1 | 3.458 | 25.76 | 13 |
| 0 1 3 | 2.060 | 43.96 | 13 |
| 3 0 0 | 1.311 | 72.02 | 12 |
| 1 0 0 | 3.934 | 22.60 | 9 |
| 0 0 4 | 1.813 | 50.33 | 6 |

Structure:
abc: 4.5425 4.5425 7.2523
angles: 90.00 90.00 120.00
Space group P3m1 (No. 156)
One atom of each set of equivalent atoms:
Tb (0.0000, 0.0000, 0.0000) [1 per cell]
Dy (0.0000, 0.0000, 0.4999) [1 per cell]
Cu (0.3333, 0.6667, 0.8146) [1 per cell]
Cu (0.6667, 0.3333, 0.3170) [1 per cell]
Sn (0.3333, 0.6667, 0.2306) [1 per cell]
Sn (0.6667, 0.3333, 0.7290) [1 per cell]


(9)
# Dy2YCu4Sn4
Theoretical X-ray diffraction stick pattern, Cu Kα (weighted mean of Kα1 and Kα2). Input: a structure optimized by DFT (GGA-PBE).

Principal peaks in the range 10 to 80 degrees two-theta, most intense first:
| index | d/Å | 2theta | I/Imax |
| --- | --- | --- | --- |
| 1 1 4 | 2.624 | 34.17 | 100 |
| 1 2 1 | 2.692 | 33.28 | 99 |
| 2 0 0 | 2.229 | 40.47 | 47 |
| 0 1 5 | 2.706 | 33.11 | 26 |
| 2 4 0 | 1.369 | 68.56 | 24 |
| 1 2 5 | 2.003 | 45.28 | 24 |
| 0 0 6 | 2.450 | 36.68 | 24 |
| 0 3 3 | 2.092 | 43.25 | 23 |
| 1 3 2 | 1.978 | 45.88 | 18 |
| 1 5 4 | 1.247 | 76.39 | 18 |

Structure:
abc: 4.4575 6.9415 14.6914
angles: 90.00 90.00 90.00
Space group Immm (No. 71)
One atom of each set of equivalent atoms:
Dy (0.0000, 0.0000, 0.1312) [4 per cell]
Y (0.0000, 0.5000, 0.0000) [2 per cell]
Cu (0.0000, 0.1883, 0.3294) [8 per cell]
Sn (0.0000, 0.2977, 0.5000) [4 per cell]
Sn (0.0000, 0.5000, 0.2160) [4 per cell]


(10)
# Sr2Dy5Cu
Theoretical X-ray diffraction stick pattern, Cu Kα (weighted mean of Kα1 and Kα2). Input: a structure optimized by DFT (GGA-PBE).

Principal peaks in the range 10 to 80 degrees two-theta, most intense first:
| index | d/Å | 2theta | I/Imax |
| --- | --- | --- | --- |
| 1 1 3 | 2.709 | 33.07 | 100 |
| 2 0 0 | 2.263 | 39.84 | 32 |
| 1 1 2 | 2.951 | 30.29 | 29 |
| 3 1 3 | 1.378 | 68.06 | 29 |
| 2 0 6 | 1.691 | 54.26 | 20 |
| 0 0 6 | 2.544 | 35.28 | 17 |
| 1 1 4 | 2.452 | 36.65 | 15 |
| 1 0 0 | 4.525 | 19.62 | 13 |
| 2 0 1 | 2.238 | 40.30 | 12 |
| 2 2 0 | 1.600 | 57.61 | 11 |

Structure:
abc: 4.5253 4.5253 15.2628
angles: 90.00 90.00 90.00
Space group P4/mmm (No. 123)
One atom of each set of equivalent atoms:
Sr (0.0000, 0.0000, 0.1348) [2 per cell]
Dy (0.0000, 0.0000, 0.5000) [1 per cell]
Dy (0.0000, 0.5000, 0.3389) [4 per cell]
Cu (0.5000, 0.5000, 0.5000) [1 per cell]


(11)
# DyCu3Te4
Theoretical X-ray diffraction stick pattern, Cu Kα (weighted mean of Kα1 and Kα2). Input: a structure optimized by DFT (GGA-PBE).

Principal peaks in the range 10 to 80 degrees two-theta, most intense first:
| index | d/Å | 2theta | I/Imax |
| --- | --- | --- | --- |
| 1 1 2 | 3.555 | 25.05 | 100 |
| 2 0 4 | 2.174 | 41.54 | 47 |
| 3 1 2 | 1.861 | 48.96 | 28 |
| 2 2 0 | 2.183 | 41.35 | 24 |
| 1 1 6 | 1.849 | 49.29 | 14 |
| 4 2 4 | 1.259 | 75.53 | 12 |
| 2 1 1 | 2.694 | 33.26 | 10 |
| 3 1 6 | 1.411 | 66.24 | 9 |
| 1 0 3 | 3.405 | 26.17 | 7 |
| 4 0 0 | 1.544 | 59.91 | 7 |

Structure:
abc: 6.1755 6.1755 12.2450
angles: 90.00 90.00 90.00
Space group I-42m (No. 121)
One atom of each set of equivalent atoms:
Dy (0.0000, 0.0000, 0.0000) [2 per cell]
Cu (0.0000, 0.0000, 0.5000) [2 per cell]
Cu (0.0000, 0.5000, 0.2500) [4 per cell]
Te (0.2214, 0.2214, 0.6387) [8 per cell]


(12)
# Dy3Y4Cu2Te2
Theoretical X-ray diffraction stick pattern, Cu Kα (weighted mean of Kα1 and Kα2). Input: a structure optimized by DFT (GGA-PBE).

Principal peaks in the range 10 to 80 degrees two-theta, most intense first:
| index | d/Å | 2theta | I/Imax |
| --- | --- | --- | --- |
| 1 4 1 | 2.674 | 33.51 | 100 |
| 0 3 3 | 2.728 | 32.83 | 78 |
| 1 3 2 | 2.637 | 33.99 | 65 |
| 1 1 2 | 3.000 | 29.78 | 51 |
| 0 3 5 | 1.803 | 50.64 | 38 |
| 1 3 0 | 3.156 | 28.28 | 36 |
| 2 0 0 | 1.982 | 45.78 | 35 |
| 1 2 3 | 2.373 | 37.91 | 35 |
| 0 5 1 | 2.975 | 30.03 | 34 |
| 1 0 3 | 2.490 | 36.07 | 32 |

Structure:
abc: 3.9640 15.6471 9.6029
angles: 90.00 90.00 90.00
Space group Imm2 (No. 44)
One atom of each set of equivalent atoms:
Dy (0.0000, 0.0000, 0.0000) [2 per cell]
Dy (0.0000, 0.3145, 0.6179) [4 per cell]
Y (0.0000, 0.1271, 0.4135) [4 per cell]
Y (0.0000, 0.3575, 0.2604) [4 per cell]
Cu (0.0000, 0.2376, 0.9240) [4 per cell]
Te (0.0000, 0.0000, 0.6626) [2 per cell]
Te (0.0000, 0.5000, 0.7611) [2 per cell]


(13)
# Dy2Y5Cu2Te2
Theoretical X-ray diffraction stick pattern, Cu Kα (weighted mean of Kα1 and Kα2). Input: a structure optimized by DFT (GGA-PBE).

Principal peaks in the range 10 to 80 degrees two-theta, most intense first:
| index | d/Å | 2theta | I/Imax |
| --- | --- | --- | --- |
| 1 4 1 | 2.675 | 33.50 | 100 |
| 0 3 3 | 2.728 | 32.83 | 78 |
| 1 3 2 | 2.639 | 33.97 | 74 |
| 1 1 2 | 3.004 | 29.74 | 40 |
| 1 2 3 | 2.375 | 37.88 | 37 |
| 2 0 0 | 1.986 | 45.68 | 35 |
| 0 3 5 | 1.802 | 50.65 | 33 |
| 1 0 1 | 3.671 | 24.25 | 33 |
| 2 3 3 | 1.606 | 57.39 | 31 |
| 1 3 0 | 3.158 | 28.25 | 29 |

Structure:
abc: 3.9722 15.6252 9.6055
angles: 90.00 90.00 90.00
Space group Imm2 (No. 44)
One atom of each set of equivalent atoms:
Dy (0.0000, 0.1860, 0.0000) [4 per cell]
Y (0.0000, 0.1424, 0.6425) [4 per cell]
Y (0.0000, 0.3727, 0.7951) [4 per cell]
Y (0.0000, 0.5000, 0.3823) [2 per cell]
Cu (0.0000, 0.2626, 0.3057) [4 per cell]
Te (0.0000, 0.0000, 0.1428) [2 per cell]
Te (0.0000, 0.5000, 0.0437) [2 per cell]


(14)
# DyYTlCu2
Theoretical X-ray diffraction stick pattern, Cu Kα (weighted mean of Kα1 and Kα2). Input: a structure optimized by DFT (GGA-PBE).

Principal peaks in the range 10 to 80 degrees two-theta, most intense first:
| index | d/Å | 2theta | I/Imax |
| --- | --- | --- | --- |
| 1 1 1 | 2.711 | 33.04 | 100 |
| 1 0 4 | 2.528 | 35.51 | 61 |
| 0 1 5 | 2.351 | 38.28 | 52 |
| 1 2 4 | 1.629 | 56.49 | 45 |
| 0 1 3 | 3.157 | 28.27 | 40 |
| 0 2 0 | 2.131 | 42.42 | 26 |
| 2 1 5 | 1.436 | 64.91 | 22 |
| 2 0 0 | 1.815 | 50.28 | 16 |
| 1 1 5 | 1.973 | 45.99 | 15 |
| 2 2 0 | 1.382 | 67.84 | 13 |

Structure:
abc: 3.6290 4.2620 14.0982
angles: 90.00 90.00 90.00
Space group Amm2 (No. 38)
One atom of each set of equivalent atoms:
Dy (0.0000, 0.0000, 0.0000) [2 per cell]
Y (0.0000, 0.0000, 0.2689) [2 per cell]
Tl (0.5000, 0.0000, 0.6346) [2 per cell]
Cu (0.5000, 0.0000, 0.4316) [2 per cell]
Cu (0.5000, 0.0000, 0.8378) [2 per cell]